[1]
For Sm3Th5Se8, a PBE-relaxed structure gives the computed X-ray diffraction stick pattern in this record (λ = 1.5418 Å (Cu Kα)).
Lines closer than 0.1° are merged.

Principal peaks in the range 2θ from 10° to 80°, sorted by position:
two_theta  Rel. int.
26.2  24.7
30.2  100.0
42.8  38.6
43.5  37.0
53.9  19.9
70.7  17.7
71.7  17.1
79.4  12.9

```
Sm3Th5Se8
1.0
4.1587 2.4010 6.9471
-4.1587 2.4010 6.9471
0.0000 -4.8021 6.9471
Sm Th Se
3 5 8
Direct
0.0000 0.5000 0.5000
0.5000 0.0000 0.5000
0.5000 0.5000 0.0000
0.0000 0.0000 0.0000
0.0000 0.0000 0.5000
0.0000 0.5000 0.0000
0.5000 0.0000 0.0000
0.5000 0.5000 0.5000
0.2498 0.2498 0.7452
0.2498 0.7452 0.2498
0.2522 0.2522 0.2522
0.2548 0.7502 0.7502
0.7452 0.2498 0.2498
0.7478 0.7478 0.7478
0.7502 0.2548 0.7502
0.7502 0.7502 0.2548
```

[2]
For UF5, a PBE-relaxed structure gives the computed X-ray diffraction stick pattern in this record (λ = 1.5418 Å (Cu Kα)).
Lines closer than 0.1° are merged.

Principal peaks in the range 2θ from 10° to 80°, sorted by position:
two_theta  Rel. int.
17.7  100.0
22.0  26.7
22.2  31.4
22.9  26.6
24.2  43.7
28.0  13.9
35.9  15.2
36.2  17.2

```
UF5
1.0
4.5612 -3.1868 0.0000
4.5612 3.1868 0.0000
-4.1746 0.0000 8.0026
U F
2 10
Direct
0.0000 0.0000 0.0000
0.0000 0.0000 0.5000
0.0399 0.9601 0.7500
0.1253 0.3445 0.6254
0.2062 0.6190 0.9925
0.3445 0.1253 0.1254
0.3810 0.7938 0.5075
0.6190 0.2062 0.4925
0.6555 0.8747 0.8746
0.7938 0.3810 0.0075
0.8747 0.6555 0.3746
0.9601 0.0399 0.2500
```

Copy entry 2 word for word.
For UF5, a PBE-relaxed structure gives the computed X-ray diffraction stick pattern in this record (λ = 1.5418 Å (Cu Kα)).
Lines closer than 0.1° are merged.

Principal peaks in the range 2θ from 10° to 80°, sorted by position:
two_theta  Rel. int.
17.7  100.0
22.0  26.7
22.2  31.4
22.9  26.6
24.2  43.7
28.0  13.9
35.9  15.2
36.2  17.2

```
UF5
1.0
4.5612 -3.1868 0.0000
4.5612 3.1868 0.0000
-4.1746 0.0000 8.0026
U F
2 10
Direct
0.0000 0.0000 0.0000
0.0000 0.0000 0.5000
0.0399 0.9601 0.7500
0.1253 0.3445 0.6254
0.2062 0.6190 0.9925
0.3445 0.1253 0.1254
0.3810 0.7938 0.5075
0.6190 0.2062 0.4925
0.6555 0.8747 0.8746
0.7938 0.3810 0.0075
0.8747 0.6555 0.3746
0.9601 0.0399 0.2500
```

Repeat the second record exactly.
For UF5, a PBE-relaxed structure gives the computed X-ray diffraction stick pattern in this record (λ = 1.5418 Å (Cu Kα)).
Lines closer than 0.1° are merged.

Principal peaks in the range 2θ from 10° to 80°, sorted by position:
two_theta  Rel. int.
17.7  100.0
22.0  26.7
22.2  31.4
22.9  26.6
24.2  43.7
28.0  13.9
35.9  15.2
36.2  17.2

```
UF5
1.0
4.5612 -3.1868 0.0000
4.5612 3.1868 0.0000
-4.1746 0.0000 8.0026
U F
2 10
Direct
0.0000 0.0000 0.0000
0.0000 0.0000 0.5000
0.0399 0.9601 0.7500
0.1253 0.3445 0.6254
0.2062 0.6190 0.9925
0.3445 0.1253 0.1254
0.3810 0.7938 0.5075
0.6190 0.2062 0.4925
0.6555 0.8747 0.8746
0.7938 0.3810 0.0075
0.8747 0.6555 0.3746
0.9601 0.0399 0.2500
```